No. 1
This entry pairs a crystal structure of ZrGaPt with its theoretical XRD peak list. Radiation: Cu Kα, 1.54184 Å. Structure: a crystal structure in Alexandria, relaxed with PBE.
Lines closer than 0.1° are merged.

Principal peaks in the range 2θ = 5–70°, low angle first:
d_spacing  2θ/deg  I (rel.)  hkl
3.596  24.76  53  1 1 0
3.111  28.70  35  1 0 2
2.541  35.32  51  1 1 2
2.353  38.25  100  2 0 2
2.235  40.35  16  1 0 3
2.076  43.59  61  3 0 0
1.969  46.10  50  2 1 2
1.797  50.82  31  0 0 4
1.557  59.37  9  3 1 2
1.359  69.15  36  3 0 4

Cell and atoms:
```
data_ZrGaPt
_cell_length_a 7.1925
_cell_length_b 7.1925
_cell_length_c 7.1813
_cell_angle_alpha 90.00
_cell_angle_beta 90.00
_cell_angle_gamma 120.00
_symmetry_space_group_name_H-M 'P -6 2 c'
_symmetry_Int_Tables_number 190
_symmetry_space_group_name_Hall 'P -6c -2c'
loop_
_atom_site_label
_atom_site_fract_x
_atom_site_fract_y
_atom_site_fract_z
Zr1 0.0234 0.6135 0.2500
Ga1 0.0000 0.2666 0.0000
Pt1 0.0000 0.0000 0.2500
Pt2 0.3333 0.6667 0.5328
```

***

No. 2
This entry pairs a crystal structure of ZnAgHg with its theoretical XRD peak list. Radiation: Cu Kα, 1.54184 Å. Structure: a crystal structure in Alexandria, relaxed with PBE.
Lines closer than 0.1° are merged.

Principal peaks in the range 2θ = 5–70°, low angle first:
d_spacing  2θ/deg  I (rel.)  hkl
3.438  25.92  17  0 1 0
3.407  26.16  17  0 1 -1
3.075  29.03  26  1 0 -1
2.451  36.67  66  1 -1 0
2.427  37.04  64  1 1 -1
2.390  37.63  60  0 1 1
2.359  38.15  57  0 1 -2
2.249  40.09  100  1 0 1
1.839  49.56  28  0 2 -1
1.629  56.50  19  2 0 -1

Cell and atoms:
```
data_ZnAgHg
_cell_length_a 3.2578
_cell_length_b 3.6794
_cell_length_c 5.2459
_cell_angle_alpha 109.61
_cell_angle_beta 107.96
_cell_angle_gamma 90.57
_symmetry_space_group_name_H-M 'P 1'
_symmetry_Int_Tables_number 1
loop_
_symmetry_equiv_pos_as_xyz
'x,y,z'
loop_
_atom_site_label
_atom_site_fract_x
_atom_site_fract_y
_atom_site_fract_z
Zn1 0.0000 0.0000 0.0000
Ag1 0.3558 0.3574 0.7112
Hg1 0.6720 0.6754 0.3428
```

***

No. 3
This entry pairs a crystal structure of Ac8PmPr2 with its theoretical XRD peak list. Radiation: Cu Kα, 1.54184 Å. Structure: a crystal structure in Alexandria, relaxed with PBE.
Lines closer than 0.1° are merged.

Principal peaks in the range 2θ = 5–70°, low angle first:
d_spacing  2θ/deg  I (rel.)  hkl
5.111  17.35  23  2 0 -1
3.981  22.33  40  2 2 -1
3.374  26.41  73  2 2 1
3.172  28.13  80  0 4 0
3.082  28.97  47  3 1 1
3.064  29.14  63  1 1 -2
2.856  31.31  100  4 2 -1
2.540  35.34  25  3 3 1
2.529  35.50  34  1 3 -2
1.764  51.82  27  4 6 -1

Cell and atoms:
```
data_Ac8PmPr2
_cell_length_a 13.3339
_cell_length_b 12.6873
_cell_length_c 6.3106
_cell_angle_alpha 90.00
_cell_angle_beta 104.14
_cell_angle_gamma 90.00
_symmetry_space_group_name_H-M 'C 1 2/m 1'
_symmetry_Int_Tables_number 12
loop_
_symmetry_equiv_pos_as_xyz
'x,y,z'
'-x,-y,-z'
'-x,y,-z'
'x,-y,z'
'x+1/2,y+1/2,z'
'-x+1/2,-y+1/2,-z'
'-x+1/2,y+1/2,-z'
'x+1/2,-y+1/2,z'
loop_
_atom_site_label
_atom_site_fract_x
_atom_site_fract_y
_atom_site_fract_z
Ac1 0.0829 0.0000 0.2927
Ac2 0.1014 0.2564 0.8003
Ac3 0.2323 0.0000 0.8855
Pm1 0.0000 0.5000 0.0000
Pr1 0.1315 0.5000 0.5184
```

***

No. 4
This entry pairs a crystal structure of La4Pm3Zn with its theoretical XRD peak list. Radiation: Cu Kα, 1.54184 Å. Structure: a crystal structure in Alexandria, relaxed with PBE.
Lines closer than 0.1° are merged.

Principal peaks in the range 2θ = 5–70°, low angle first:
d_spacing  2θ/deg  I (rel.)  hkl
3.234  27.58  14  1 0 3
2.954  30.26  100  1 0 4
2.743  32.64  9  0 0 7
2.650  33.83  45  1 1 0
2.401  37.46  8  0 0 8
1.906  47.72  12  1 1 7
1.873  48.60  16  2 0 0
1.779  51.36  12  1 1 8
1.582  58.32  43  2 1 4
1.477  62.93  7  2 0 8

Cell and atoms:
```
data_La4Pm3Zn
_cell_length_a 3.7470
_cell_length_b 3.7470
_cell_length_c 19.2042
_cell_angle_alpha 90.00
_cell_angle_beta 90.00
_cell_angle_gamma 90.00
_symmetry_space_group_name_H-M 'P 4/m m m'
_symmetry_Int_Tables_number 123
_symmetry_space_group_name_Hall '-P 4 2'
loop_
_atom_site_label
_atom_site_fract_x
_atom_site_fract_y
_atom_site_fract_z
La1 0.0000 0.0000 0.0967
La2 0.0000 0.0000 0.3660
Pm1 0.5000 0.5000 0.2343
Pm2 0.5000 0.5000 0.5000
Zn1 0.5000 0.5000 0.0000
```